Starting from a crystal structure in Alexandria, relaxed with PBE, the XRD peak list of Ba3Zn7Ir2 was computed for CuKα.
Intensities are scaled so that the largest is 100.

Cell and atoms:
```
Ba3Zn7Ir2
1.0
-2.4720 2.4720 13.3086
2.4720 -2.4720 13.3086
2.4720 2.4720 -13.3086
Ba Zn Ir
3 7 2
direct
0.0000 0.0000 0.0000
0.1823 0.1823 0.0000
0.8177 0.8177 0.0000
0.0912 0.5912 0.5000
0.3159 0.3159 0.0000
0.4088 0.9088 0.5000
0.5000 0.5000 0.0000
0.5912 0.0912 0.5000
0.6841 0.6841 0.0000
0.9088 0.4088 0.5000
0.4077 0.4077 0.0000
0.5923 0.5923 0.0000
```

The 10 most intense peaks (2θ from 10° to 90°), sorted by position:
2θ/deg, I/Imax
13.3, 28.8
18.3, 28.2
24.6, 92.7
25.5, 76.1
32.6, 34.3
33.7, 36.1
36.3, 100.0
44.4, 38.9
50.4, 45.6
52.3, 34.6